Structure and simulated powder diffraction line list of NaDyH2S2O9 (DFT lattice parameters and positions (PBE); Cu Kα (weighted mean of Kα1 and Kα2)).

Structural model:
```
data_NaDyH2S2O9
_chemical_formula_sum 'Na3 Dy3 H6 S6 O27'
_cell_length_a 6.9098
_cell_length_b 6.9098
_cell_length_c 12.8963
_cell_angle_alpha 90.00
_cell_angle_beta 90.00
_cell_angle_gamma 120.00
_symmetry_space_group_name_H-M 'P 31 2 1'
_symmetry_Int_Tables_number 152
_symmetry_space_group_name_Hall 'P 31 2"'
loop_
_atom_site_label
_atom_site_fract_x
_atom_site_fract_y
_atom_site_fract_z
Na1 0.0000 0.4882 0.1667
Dy1 0.0000 0.4431 0.6667
H1 0.0111 0.9644 0.0566
S1 0.0152 0.4566 0.9048
O1 0.0000 0.0961 0.6667
O2 0.1147 0.3764 0.5007
O3 0.1328 0.6546 0.8350
O4 0.1366 0.6150 0.3546
O5 0.1738 0.4154 0.9655
```

Peak list (8 most intense, 5 to 70 degrees two-theta, by intensity)
two_theta  I (rel.)
16.33  100
31.52  58
29.86  53
14.80  41
49.21  35
25.79  31
42.35  22
20.25  16